Theoretical powder XRD pattern
Compound: Sr3Mg2P4
Radiation: Cu Kα X-rays
Structure: a structure optimized by DFT (PBE)
Intensities are scaled so that the largest is 1000.

Cell: 16.046 4.342 6.884 Å, 90.00 111.77 90.00°
Space group C2/m (No. 12)
Inequivalent atoms, fractional coordinates:
Sr  0.000  0.000  0.000 (multiplicity 2)
Sr  0.140  0.000  0.561 (multiplicity 4)
Mg  0.175  0.500  0.977 (multiplicity 4)
P  0.010  0.500  0.673 (multiplicity 4)
P  0.207  0.000  0.195 (multiplicity 4)

Principal peaks in the range 2θ = 10–80°, in order of rising 2θ:
(1 1 0), 2θ 21.33, intensity 500
(4 0 -1), 2θ 22.74, intensity 302
(3 1 -1), 2θ 27.45, intensity 723
(1 1 -2), 2θ 33.51, intensity 820
(3 1 1), 2θ 33.70, intensity 1000
(5 1 -1), 2θ 34.88, intensity 398
(6 0 0), 2θ 36.17, intensity 274
(0 2 0), 2θ 41.60, intensity 410

Theoretical powder XRD pattern
Compound: CsHoAg2
Radiation: Cu Kα X-rays
Structure: a structure optimized by DFT (PBE)
Intensities are scaled so that the largest is 1000.

Cell: 3.841 3.841 8.665 Å, 90.00 90.00 90.00°
Space group P4/mmm (No. 123)
Inequivalent atoms, fractional coordinates:
Cs  0.000  0.000  0.000 (multiplicity 1)
Ho  0.000  0.000  0.500 (multiplicity 1)
Ag  0.500  0.500  0.331 (multiplicity 2)

Principal peaks in the range 2θ = 10–80°, in order of rising 2θ:
(0 0 1), 2θ 10.21, intensity 390
(1 0 2), 2θ 31.12, intensity 1000
(1 1 0), 2θ 32.98, intensity 681
(1 0 3), 2θ 39.02, intensity 214
(2 0 0), 2θ 47.33, intensity 243
(1 0 4), 2θ 48.23, intensity 267
(2 1 2), 2θ 57.72, intensity 371
(2 1 4), 2θ 69.89, intensity 175

Theoretical powder XRD pattern
Compound: Pa2Si2H
Radiation: Cu Kα X-rays
Structure: a structure optimized by DFT (PBE)
Intensities are scaled so that the largest is 1000.

Cell: 3.790 3.768 12.437 Å, 90.00 90.00 90.00°
Space group Amm2 (No. 38)
Inequivalent atoms, fractional coordinates:
Pa  0.000  0.000  0.000 (multiplicity 2)
Pa  0.000  0.000  0.236 (multiplicity 2)
Si  0.500  0.000  0.410 (multiplicity 2)
Si  0.500  0.000  0.612 (multiplicity 2)
H  0.500  0.000  0.750 (multiplicity 2)

Principal peaks in the range 2θ = 10–80°, in order of rising 2θ:
(1 0 0), 2θ 23.47, intensity 708
(0 1 1), 2θ 24.69, intensity 724
(0 0 4), 2θ 28.71, intensity 464
(0 1 3), 2θ 32.10, intensity 341
(1 1 1), 2θ 34.32, intensity 1000
(1 0 4), 2θ 37.41, intensity 680
(1 1 3), 2θ 40.15, intensity 340
(0 1 5), 2θ 43.60, intensity 370

Theoretical powder XRD pattern
Compound: Mg3CuRh4
Radiation: Cu Kα X-rays
Structure: a structure optimized by DFT (PBE)
Intensities are scaled so that the largest is 1000.

Cell: 3.112 4.331 8.699 Å, 90.00 90.00 90.00°
Space group Pmmm (No. 47)
Inequivalent atoms, fractional coordinates:
Mg  0.000  0.000  0.000 (multiplicity 1)
Mg  0.000  0.500  0.252 (multiplicity 2)
Cu  0.000  0.000  0.500 (multiplicity 1)
Rh  0.500  0.000  0.260 (multiplicity 2)
Rh  0.500  0.500  0.000 (multiplicity 1)
Rh  0.500  0.500  0.500 (multiplicity 1)

Principal peaks in the range 2θ = 10–80°, in order of rising 2θ:
(1 0 0), 2θ 28.68, intensity 161
(0 1 2), 2θ 29.10, intensity 307
(1 1 2), 2θ 41.31, intensity 1000
(0 0 4), 2θ 41.53, intensity 242
(0 2 0), 2θ 41.71, intensity 245
(0 2 4), 2θ 60.32, intensity 156
(1 1 6), 2θ 75.62, intensity 151
(1 3 2), 2θ 75.86, intensity 157

Theoretical powder XRD pattern
Compound: Ce12SnOs6
Radiation: Cu Kα X-rays
Structure: a structure optimized by DFT (PBE)
Intensities are scaled so that the largest is 1000.

Cell: 13.5901 13.5901 9.2247 Å, 90.00 90.00 120.00°
Space group R-3m (No. 166, hexagonal axes)
Inequivalent atoms, fractional coordinates:
Ce  0.0000  0.3840  0.0000 (multiplicity 18)
Ce  0.0871  0.1741  0.8259 (multiplicity 18)
Sn  0.0000  0.0000  0.5000 (multiplicity 3)
Os  0.0565  0.5283  0.7522 (multiplicity 18)

Principal peaks in the range 2θ = 10–80°, in order of rising 2θ:
(2 1 1), 2θ 22.19, intensity 395
(1 3 1), 2θ 29.02, intensity 771
(1 1 3), 2θ 31.95, intensity 414
(3 2 1), 2θ 34.61, intensity 1000
(0 3 3), 2θ 37.15, intensity 653
(0 2 4), 2θ 42.08, intensity 503
(5 0 2), 2θ 43.15, intensity 669
(3 1 5), 2θ 57.35, intensity 507

Theoretical powder XRD pattern
Compound: Pa5Bi5Pd
Radiation: Cu Kα X-rays
Structure: a structure optimized by DFT (PBE)
Intensities are scaled so that the largest is 1000.

Cell: 11.913 5.519 9.524 Å, 90.00 97.10 90.00°
Space group C2/m (No. 12)
Inequivalent atoms, fractional coordinates:
Pa  0.000  0.000  0.000 (multiplicity 2)
Pa  0.072  0.500  0.166 (multiplicity 4)
Pa  0.198  0.500  0.947 (multiplicity 4)
Bi  0.000  0.500  0.500 (multiplicity 2)
Bi  0.152  0.000  0.745 (multiplicity 4)
Bi  0.173  0.000  0.330 (multiplicity 4)
Pd  0.000  0.000  0.500 (multiplicity 2)

Principal peaks in the range 2θ = 10–80°, in order of rising 2θ:
(3 1 1), 2θ 30.32, intensity 993
(0 2 0), 2θ 32.44, intensity 1000
(1 1 -3), 2θ 32.80, intensity 915
(4 0 -2), 2θ 33.72, intensity 736
(3 1 2), 2θ 35.37, intensity 763
(1 1 -4), 2θ 41.40, intensity 356
(4 2 -2), 2θ 47.49, intensity 577
(3 3 2), 2θ 59.78, intensity 246

Theoretical powder XRD pattern
Compound: Th7S12
Radiation: Cu Kα X-rays
Structure: a structure optimized by DFT (PBE)
Intensities are scaled so that the largest is 1000.

Cell: 11.1586 11.1586 3.9932 Å, 90.00 90.00 120.00°
Space group P-6 (No. 174)
Inequivalent atoms, fractional coordinates:
Th  0.0000  0.0000  0.0000 (multiplicity 1)
Th  0.1493  0.7176  0.0000 (multiplicity 3)
Th  0.4403  0.1524  0.5000 (multiplicity 3)
S  0.0048  0.7908  0.5000 (multiplicity 3)
S  0.1414  0.5238  0.5000 (multiplicity 3)
S  0.2530  0.0044  0.0000 (multiplicity 3)
S  0.5129  0.3724  0.0000 (multiplicity 3)

Principal peaks in the range 2θ = 10–80°, in order of rising 2θ:
(1 0 1), 2θ 24.12, intensity 330
(2 1 0), 2θ 24.37, intensity 1000
(2 0 1), 2θ 29.01, intensity 242
(1 2 1), 2θ 33.24, intensity 338
(3 0 1), 2θ 35.82, intensity 252
(3 1 1), 2θ 40.54, intensity 266
(1 4 0), 2θ 42.89, intensity 354
(2 1 2), 2θ 52.21, intensity 274

Theoretical powder XRD pattern
Compound: Pr14NdTm
Radiation: Cu Kα X-rays
Structure: a structure optimized by DFT (PBE)
Intensities are scaled so that the largest is 1000.

Cell: 7.385 7.385 10.472 Å, 90.00 90.00 90.00°
Space group P4/mmm (No. 123)
Inequivalent atoms, fractional coordinates:
Pr  0.000  0.000  0.000 (multiplicity 1)
Pr  0.000  0.500  0.000 (multiplicity 2)
Pr  0.000  0.500  0.500 (multiplicity 2)
Pr  0.248  0.248  0.252 (multiplicity 8)
Pr  0.500  0.500  0.000 (multiplicity 1)
Nd  0.500  0.500  0.500 (multiplicity 1)
Tm  0.000  0.000  0.500 (multiplicity 1)

Principal peaks in the range 2θ = 10–80°, in order of rising 2θ:
(2 0 2), 2θ 29.60, intensity 1000
(2 2 0), 2θ 34.31, intensity 507
(4 0 0), 2θ 49.31, intensity 364
(2 0 6), 2θ 58.49, intensity 145
(4 2 2), 2θ 58.61, intensity 289
(4 0 4), 2θ 61.45, intensity 125
(4 4 0), 2θ 72.38, intensity 38
(4 2 6), 2θ 79.98, intensity 117